# TlPtPb3
Calculated PXRD pattern, λ = 1.5418 Å (Cu Kα). Input: the GGA-PBE geometry in Alexandria.
Kinematic intensities with the Lorentz-polarization factor, no thermal factor.

Structure:
```
data_TlPtPb3
_chemical_formula_sum 'Tl2 Pt2 Pb6'
_cell_length_a 8.238
_cell_length_b 4.488
_cell_length_c 8.782
_cell_angle_alpha 90.00
_cell_angle_beta 115.29
_cell_angle_gamma 90.00
_space_group_name_H-M_alt 'P 1'
_space_group_IT_number 1
loop_
_space_group_symop_operation_xyz
'x,y,z'
loop_
_atom_site_label
_atom_site_type_symbol
_atom_site_fract_x
_atom_site_fract_y
_atom_site_fract_z
_atom_site_occupancy
Tl1 Tl 0.162 0.250 0.276 1
Tl2 Tl 0.838 0.750 0.724 1
Pt1 Pt 0.405 0.750 0.892 1
Pt2 Pt 0.595 0.250 0.108 1
Pb1 Pb 0.167 0.750 0.549 1
Pb2 Pb 0.198 0.250 0.911 1
Pb3 Pb 0.480 0.750 0.259 1
Pb4 Pb 0.520 0.250 0.741 1
Pb5 Pb 0.802 0.750 0.089 1
Pb6 Pb 0.833 0.250 0.451 1
```

Top 10 peaks for 15 to 90 degrees two-theta, in order of rising 2θ:
Position (°2θ)  intensity  hkl
27.93  64  1 1 1
29.45  100  2 1 -1
30.64  50  1 0 -3
31.21  33  2 1 0
31.95  93  2 1 -2
35.93  55  1 1 2
36.18  48  3 0 0
36.73  75  1 1 -3
40.19  69  0 2 0
57.71  30  1 1 -5